Structure and theoretical PXRD pattern of Zn2Fe7O12 (a cell relaxed with PBE+U; Cu Kα X-rays).

Largest 8 diffraction maxima, low angle first, 2θ = 10–90°:
2θ = 29.47°, intensity 34, hkl 2 0 0
2θ = 34.71°, intensity 100, hkl 2 1 3
2θ = 42.17°, intensity 16, hkl 2 2 0
2θ = 52.28°, intensity 12, hkl 3 1 6
2θ = 55.72°, intensity 37, hkl 3 2 3
2θ = 61.16°, intensity 44, hkl 4 0 0
2θ = 72.27°, intensity 10, hkl 4 1 9
2θ = 87.38°, intensity 17, hkl 5 0 9

Cell and atoms:
Unit cell a=6.063 b=6.063 c=25.711 alpha=90.00 beta=90.00 gamma=90.00
Space group I4_1/amd (No. 141, origin choice 2)
Inequivalent atoms, fractional coordinates:
Zn1 0.000 0.250 0.041 (multiplicity 8)
Fe1 0.000 0.000 0.167 (multiplicity 16)
Fe2 0.000 0.000 0.500 (multiplicity 8)
Fe3 0.000 0.250 0.375 (multiplicity 4)
O1 0.000 0.021 0.247 (multiplicity 16)
O2 0.000 0.021 0.913 (multiplicity 16)
O3 0.000 0.025 0.579 (multiplicity 16)

=====

Structure and theoretical PXRD pattern of ZnFe5O8 (a cell relaxed with PBE+U; Cu Kα X-rays).

Largest 8 diffraction maxima, low angle first, 2θ = 10–90°:
2θ = 29.43°, intensity 33, hkl 2 2 0
2θ = 34.66°, intensity 100, hkl 3 1 1
2θ = 42.10°, intensity 17, hkl 4 0 0
2θ = 52.20°, intensity 11, hkl 4 2 2
2θ = 55.63°, intensity 37, hkl 5 1 1
2θ = 61.06°, intensity 45, hkl 4 4 0
2θ = 72.15°, intensity 10, hkl 5 3 3
2θ = 87.22°, intensity 17, hkl 5 5 3

Cell and atoms:
Unit cell a=8.585 b=8.585 c=8.585 alpha=90.00 beta=90.00 gamma=90.00
Space group F-43m (No. 216)
Inequivalent atoms, fractional coordinates:
Zn1 0.000 0.000 0.000 (multiplicity 4)
Fe1 0.125 0.125 0.375 (multiplicity 16)
Fe2 0.250 0.250 0.750 (multiplicity 4)
O1 0.112 0.112 0.612 (multiplicity 16)
O2 0.135 0.135 0.135 (multiplicity 16)

=====

Structure and theoretical PXRD pattern of Zn2Fe3O8 (a cell relaxed with PBE+U; Cu Kα X-rays).

Largest 8 diffraction maxima, low angle first, 2θ = 10–90°:
2θ = 28.33°, intensity 99, hkl 1 1 1
2θ = 31.05°, intensity 40, hkl 2 0 1
2θ = 31.46°, intensity 100, hkl 3 1 -1
2θ = 35.68°, intensity 57, hkl 2 2 0
2θ = 37.23°, intensity 60, hkl 2 2 -1
2θ = 47.18°, intensity 51, hkl 4 2 -1
2θ = 58.12°, intensity 58, hkl 4 2 1
2θ = 63.86°, intensity 49, hkl 2 2 -3

Cell and atoms:
Unit cell a=10.300 b=5.908 c=5.031 alpha=90.00 beta=111.07 gamma=90.00
Space group C2/m (No. 12)
Inequivalent atoms, fractional coordinates:
Zn1 0.217 0.000 0.153 (multiplicity 4)
Fe1 0.000 0.237 0.500 (multiplicity 4)
Fe2 0.000 0.500 0.000 (multiplicity 2)
O1 0.109 0.500 0.423 (multiplicity 4)
O2 0.110 0.000 0.424 (multiplicity 4)
O3 0.117 0.271 0.900 (multiplicity 8)

=====

Structure and theoretical PXRD pattern of Zn2Fe3O8 (a cell relaxed with PBE+U; Cu Kα X-rays).

Largest 8 diffraction maxima, low angle first, 2θ = 10–90°:
2θ = 25.60°, intensity 74, hkl 1 0 2
2θ = 33.37°, intensity 88, hkl 1 0 3
2θ = 34.85°, intensity 32, hkl 2 0 0
2θ = 35.70°, intensity 100, hkl 1 1 2
2θ = 36.17°, intensity 78, hkl 2 0 1
2θ = 55.53°, intensity 52, hkl 2 1 3
2θ = 60.84°, intensity 66, hkl 2 0 5
2θ = 62.50°, intensity 55, hkl 2 2 0

Cell and atoms:
Unit cell a=5.9445 b=5.9445 c=9.4406 alpha=90.00 beta=90.00 gamma=120.00
Space group P6_3mc (No. 186)
Inequivalent atoms, fractional coordinates:
Zn1 0.3333 0.6667 0.0000 (multiplicity 2)
Zn2 0.3333 0.6667 0.3919 (multiplicity 2)
Fe1 0.1641 0.3281 0.7147 (multiplicity 6)
O1 0.0000 0.0000 0.3234 (multiplicity 2)
O2 0.0378 0.5189 0.8397 (multiplicity 6)
O3 0.1648 0.3296 0.1137 (multiplicity 6)
O4 0.3333 0.6667 0.6042 (multiplicity 2)

=====

Structure and theoretical PXRD pattern of ZnFe3O7 (a cell relaxed with PBE+U; Cu Kα X-rays).

Largest 8 diffraction maxima, low angle first, 2θ = 10–90°:
2θ = 17.74°, intensity 53, hkl 2 0 0
2θ = 24.77°, intensity 30, hkl 2 2 0
2θ = 25.36°, intensity 49, hkl 1 2 1
2θ = 25.67°, intensity 63, hkl 2 1 1
2θ = 29.78°, intensity 100, hkl 2 2 1
2θ = 30.69°, intensity 38, hkl 0 3 1
2θ = 39.65°, intensity 32, hkl 4 0 1
2θ = 52.08°, intensity 32, hkl 2 4 2

Cell and atoms:
Unit cell a=10.001 b=10.343 c=5.449 alpha=90.00 beta=90.00 gamma=90.00
Space group Pnma (No. 62)
Inequivalent atoms, fractional coordinates:
Zn1 0.053 0.250 0.108 (multiplicity 4)
Fe1 0.184 0.531 0.708 (multiplicity 8)
Fe2 0.232 0.750 0.206 (multiplicity 4)
O1 0.019 0.599 0.722 (multiplicity 8)
O2 0.054 0.750 0.192 (multiplicity 4)
O3 0.209 0.124 0.949 (multiplicity 8)
O4 0.221 0.115 0.477 (multiplicity 8)